Simulated X-ray powder pattern
Compound: Ga2Au
Radiation: a wavelength of 1.5418 Å
Structure: a crystal structure in the Materials Project, relaxed with PBE
Lines closer than 0.1° are merged.

Crystal structure
Cell: 4.4033 4.4033 4.4033 Å, 60.00 60.00 60.00°
Element x y z (fractional)
Ga (0.2500, 0.2500, 0.2500)
Ga (0.7500, 0.7500, 0.7500)
Au (0.0000, 0.0000, 0.0000)

Top 8 peaks for 5° ≤ 2θ ≤ 70°, by angle:
two_theta	I_rel
24.76	81
28.67	3
40.99	100
48.48	41
50.79	1
59.37	17
65.32	17
67.24	1

Simulated X-ray powder pattern
Compound: K2GaAuI6
Radiation: a wavelength of 1.5418 Å
Structure: a crystal structure in the Materials Project, relaxed with PBE
Lines closer than 0.1° are merged.

Crystal structure
Cell: 8.2365 8.2365 8.2365 Å, 60.00 60.00 60.00°
Element x y z (fractional)
K (0.2500, 0.2500, 0.2500)
K (0.7500, 0.7500, 0.7500)
Ga (0.0000, 0.0000, 0.0000)
Au (0.5000, 0.5000, 0.5000)
I (0.2476, 0.2476, 0.7524)
I (0.2476, 0.7524, 0.2476)
I (0.2476, 0.7524, 0.7524)
I (0.7524, 0.2476, 0.2476)
I (0.7524, 0.2476, 0.7524)
I (0.7524, 0.7524, 0.2476)

Top 10 peaks for 5° ≤ 2θ ≤ 70°, by angle:
two_theta	I_rel
15.21	83
26.51	51
30.70	100
34.43	47
43.97	73
46.79	25
52.08	22
54.59	26
63.94	12
66.15	14

Simulated X-ray powder pattern
Compound: GaAuI8N2
Radiation: a wavelength of 1.5418 Å
Structure: a crystal structure in the Materials Project, relaxed with PBE
Lines closer than 0.1° are merged.

Crystal structure
Cell: 13.1024 22.2299 6.7675 Å, 90.00 90.00 90.00°
Element x y z (fractional)
Ga (0.2209, 0.2500, 0.0899)
Ga (0.2791, 0.7500, 0.5899)
Ga (0.7209, 0.2500, 0.4101)
Ga (0.7791, 0.7500, 0.9101)
Au (0.0000, 0.0000, 0.5000)
Au (0.0000, 0.5000, 0.5000)
Au (0.5000, 0.0000, 0.0000)
Au (0.5000, 0.5000, 0.0000)
I (0.0414, 0.2500, 0.9344)
I (0.1171, 0.0656, 0.7391)
I (0.1171, 0.4344, 0.7391)
I (0.1193, 0.0585, 0.2439)
I (0.1193, 0.4415, 0.2439)
I (0.1792, 0.6531, 0.4942)
I (0.1792, 0.8469, 0.4942)
I (0.2004, 0.2500, 0.4692)
I (0.2996, 0.7500, 0.9692)
I (0.3208, 0.1531, 0.9942)
I (0.3208, 0.3469, 0.9942)
I (0.3807, 0.5585, 0.7439)
I (0.3807, 0.9415, 0.7439)
I (0.3829, 0.5656, 0.2391)
I (0.3829, 0.9344, 0.2391)
I (0.4586, 0.7500, 0.4344)
I (0.5414, 0.2500, 0.5656)
I (0.6171, 0.0656, 0.7609)
I (0.6171, 0.4344, 0.7609)
I (0.6193, 0.0585, 0.2561)
I (0.6193, 0.4415, 0.2561)
I (0.6792, 0.6531, 0.0058)
I (0.6792, 0.8469, 0.0058)
I (0.7004, 0.2500, 0.0308)
I (0.7996, 0.7500, 0.5308)
I (0.8208, 0.1531, 0.5058)
I (0.8208, 0.3469, 0.5058)
I (0.8807, 0.5585, 0.7561)
I (0.8807, 0.9415, 0.7561)
I (0.8829, 0.5656, 0.2609)
I (0.8829, 0.9344, 0.2609)
I (0.9586, 0.7500, 0.0656)
N (0.1329, 0.6027, 0.9910)
N (0.1329, 0.8973, 0.9910)
N (0.3671, 0.1027, 0.4910)
N (0.3671, 0.3973, 0.4910)
N (0.6329, 0.6027, 0.5090)
N (0.6329, 0.8973, 0.5090)
N (0.8671, 0.1027, 0.0090)
N (0.8671, 0.3973, 0.0090)

Top 10 peaks for 5° ≤ 2θ ≤ 70°, by angle:
two_theta	I_rel
15.70	45
16.76	38
24.20	100
25.56	46
27.55	29
28.29	28
32.13	58
38.24	22
42.08	31
42.66	24

Simulated X-ray powder pattern
Compound: La2Ga5Au3
Radiation: a wavelength of 1.5418 Å
Structure: a crystal structure in the Materials Project, relaxed with PBE
Lines closer than 0.1° are merged.

Crystal structure
Cell: 4.4796 4.4796 10.9650 Å, 90.00 90.00 90.00°
Element x y z (fractional)
La (0.0000, 0.5000, 0.2430)
La (0.5000, 0.0000, 0.7570)
Ga (0.0000, 0.0000, 0.0000)
Ga (0.0000, 0.0000, 0.5000)
Ga (0.0000, 0.5000, 0.6277)
Ga (0.5000, 0.0000, 0.3723)
Ga (0.5000, 0.5000, 0.5000)
Au (0.0000, 0.5000, 0.8559)
Au (0.5000, 0.0000, 0.1441)
Au (0.5000, 0.5000, 0.0000)

Top 10 peaks for 5° ≤ 2θ ≤ 70°, by angle:
two_theta	I_rel
8.06	66
31.59	52
32.65	100
40.26	68
43.67	30
46.08	41
52.06	25
58.26	28
62.83	31
68.41	29

Simulated X-ray powder pattern
Compound: Li2GaAu
Radiation: a wavelength of 1.5418 Å
Structure: a crystal structure in the Materials Project, relaxed with PBE
Lines closer than 0.1° are merged.

Crystal structure
Cell: 4.4176 4.4176 4.4176 Å, 60.00 60.00 60.00°
Element x y z (fractional)
Li (0.0000, 0.0000, 0.0000)
Li (0.2500, 0.2500, 0.2500)
Ga (0.5000, 0.5000, 0.5000)
Au (0.7500, 0.7500, 0.7500)

Top 8 peaks for 5° ≤ 2θ ≤ 70°, by angle:
two_theta	I_rel
24.68	100
28.58	19
40.86	77
48.32	51
50.61	6
59.15	13
65.08	21
66.99	8

Simulated X-ray powder pattern
Compound: Ga40Mo8Au
Radiation: a wavelength of 1.5418 Å
Structure: a crystal structure in the Materials Project, relaxed with PBE
Lines closer than 0.1° are merged.

Crystal structure
Cell: 9.5980 9.5980 9.5980 Å, 94.76 94.76 94.76°
Element x y z (fractional)
Ga (0.0000, 0.0000, 0.0000)
Ga (0.0000, 0.0000, 0.5000)
Ga (0.0000, 0.5000, 0.0000)
Ga (0.0376, 0.1751, 0.2790)
Ga (0.0504, 0.7213, 0.4256)
Ga (0.0995, 0.4684, 0.2868)
Ga (0.1114, 0.7660, 0.1345)
Ga (0.1345, 0.1114, 0.7660)
Ga (0.1751, 0.2790, 0.0376)
Ga (0.1790, 0.6252, 0.6766)
Ga (0.2340, 0.8655, 0.8886)
Ga (0.2415, 0.3742, 0.5553)
Ga (0.2790, 0.0376, 0.1751)
Ga (0.2787, 0.5744, 0.9496)
Ga (0.2868, 0.0995, 0.4684)
Ga (0.3234, 0.8210, 0.3748)
Ga (0.3742, 0.5553, 0.2415)
Ga (0.3748, 0.3234, 0.8210)
Ga (0.4256, 0.0504, 0.7213)
Ga (0.4447, 0.7585, 0.6258)
Ga (0.4684, 0.2868, 0.0995)
Ga (0.5000, 0.0000, 0.0000)
Ga (0.5316, 0.7132, 0.9005)
Ga (0.5553, 0.2415, 0.3742)
Ga (0.5744, 0.9496, 0.2787)
Ga (0.6252, 0.6766, 0.1790)
Ga (0.6258, 0.4447, 0.7585)
Ga (0.6766, 0.1790, 0.6252)
Ga (0.7132, 0.9005, 0.5316)
Ga (0.7213, 0.4256, 0.0504)
Ga (0.7210, 0.9624, 0.8249)
Ga (0.7585, 0.6258, 0.4447)
Ga (0.7660, 0.1345, 0.1114)
Ga (0.8210, 0.3748, 0.3234)
Ga (0.8249, 0.7210, 0.9624)
Ga (0.8655, 0.8886, 0.2340)
Ga (0.8886, 0.2340, 0.8655)
Ga (0.9005, 0.5316, 0.7132)
Ga (0.9496, 0.2787, 0.5744)
Ga (0.9624, 0.8249, 0.7210)
Mo (0.1126, 0.3878, 0.7911)
Mo (0.2089, 0.8874, 0.6122)
Mo (0.2996, 0.2996, 0.2996)
Mo (0.3878, 0.7911, 0.1126)
Mo (0.6122, 0.2089, 0.8874)
Mo (0.7004, 0.7004, 0.7004)
Mo (0.7911, 0.1126, 0.3878)
Mo (0.8874, 0.6122, 0.2089)
Au (0.5000, 0.5000, 0.5000)

Top 10 peaks for 5° ≤ 2θ ≤ 70°, by angle:
two_theta	I_rel
21.80	43
30.88	56
35.49	36
39.43	31
39.84	45
39.95	65
41.53	42
41.97	46
44.02	100
44.43	74

Simulated X-ray powder pattern
Compound: NaGa2Au4
Radiation: a wavelength of 1.5418 Å
Structure: a crystal structure in the Materials Project, relaxed with PBE
Lines closer than 0.1° are merged.

Crystal structure
Cell: 8.4751 7.5286 9.3781 Å, 90.00 115.75 90.00°
Element x y z (fractional)
Na (0.2112, 0.0449, 0.1755)
Na (0.2112, 0.4551, 0.6755)
Na (0.7888, 0.5449, 0.3245)
Na (0.7888, 0.9551, 0.8245)
Ga (0.0033, 0.1314, 0.3879)
Ga (0.0033, 0.3686, 0.8879)
Ga (0.4837, 0.6754, 0.5850)
Ga (0.4837, 0.8246, 0.0850)
Ga (0.5163, 0.1754, 0.9150)
Ga (0.5163, 0.3246, 0.4150)
Ga (0.9967, 0.6314, 0.1121)
Ga (0.9967, 0.8686, 0.6121)
Au (0.1445, 0.7157, 0.9216)
Au (0.1445, 0.7843, 0.4216)
Au (0.1755, 0.1030, 0.8435)
Au (0.1755, 0.3970, 0.3435)
Au (0.3656, 0.1046, 0.5454)
Au (0.3656, 0.3954, 0.0454)
Au (0.3713, 0.6538, 0.2661)
Au (0.3713, 0.8462, 0.7661)
Au (0.6287, 0.1538, 0.2339)
Au (0.6287, 0.3462, 0.7339)
Au (0.6344, 0.6046, 0.9546)
Au (0.6344, 0.8954, 0.4546)
Au (0.8245, 0.6030, 0.6565)
Au (0.8245, 0.8970, 0.1565)
Au (0.8555, 0.2157, 0.5784)
Au (0.8555, 0.2843, 0.0784)

Top 10 peaks for 5° ≤ 2θ ≤ 70°, by angle:
two_theta	I_rel
16.67	43
22.19	56
23.67	56
26.51	59
37.45	68
37.75	68
38.20	59
39.96	100
40.19	53
40.87	52

Simulated X-ray powder pattern
Compound: Nd2Ga5Au3
Radiation: a wavelength of 1.5418 Å
Structure: a crystal structure in the Materials Project, relaxed with PBE
Lines closer than 0.1° are merged.

Crystal structure
Cell: 4.3937 4.3937 10.9683 Å, 90.00 90.00 90.00°
Element x y z (fractional)
Nd (0.0000, 0.5000, 0.2446)
Nd (0.5000, 0.0000, 0.7554)
Ga (0.0000, 0.0000, 0.5000)
Ga (0.0000, 0.5000, 0.6288)
Ga (0.5000, 0.0000, 0.3712)
Ga (0.5000, 0.5000, 0.0000)
Ga (0.5000, 0.5000, 0.5000)
Au (0.0000, 0.0000, 0.0000)
Au (0.0000, 0.5000, 0.8536)
Au (0.5000, 0.0000, 0.1464)

Top 10 peaks for 5° ≤ 2θ ≤ 70°, by angle:
two_theta	I_rel
8.06	62
31.84	49
33.14	100
41.09	66
44.05	26
46.26	39
52.90	24
59.51	23
63.57	30
69.83	23